The following is a theoretical X-ray powder pattern of La11Tl9Ir4. It was derived from DFT lattice parameters and positions (GGA-PBE), using Cu Kα X-rays.
Neutral-atom scattering factors, no anomalous dispersion.

Principal peaks in the range 15° ≤ 2θ ≤ 90°, sorted by position:
2theta  d (Å)  intensity  (hkl)
31.11  2.875  22.2  3 3 1
32.71  2.738  95.5  4 0 1
32.85  2.727  100.0  0 6 1
33.10  2.706  84.9  4 6 0
34.93  2.569  29.9  3 5 1
35.81  2.507  22.7  1 9 0
35.92  2.500  26.7  6 2 0
46.56  1.951  33.2  0 0 2
58.31  1.582  34.1  4 6 2
60.14  1.539  22.5  6 2 2

Atomic structure:
abc: 15.371 22.874 3.901
angles: 90.00 90.00 90.00
Space group Cmmm (No. 65)
Inequivalent atoms, fractional coordinates:
La 0.000 0.000 0.000 x2
La 0.000 0.162 0.000 x4
La 0.000 0.374 0.000 x4
La 0.187 0.500 0.000 x4
La 0.248 0.333 0.000 x8
Tl 0.000 0.500 0.500 x2
Tl 0.104 0.261 0.500 x8
Tl 0.145 0.071 0.500 x8
Ir 0.153 0.399 0.500 x8


The following is a theoretical X-ray powder pattern of La2TmIr. It was derived from DFT lattice parameters and positions (GGA-PBE), using Cu Kα X-rays.
Neutral-atom scattering factors, no anomalous dispersion.

Principal peaks in the range 15° ≤ 2θ ≤ 90°, sorted by position:
2theta  d (Å)  intensity  (hkl)
20.37  4.359  44.7  1 1 1
29.41  3.037  57.0  2 1 1
30.07  2.972  81.3  0 3 1
30.18  2.961  55.4  2 2 0
31.64  2.828  100.0  1 1 2
32.51  2.754  85.9  1 3 1
33.30  2.690  81.1  2 2 1
36.33  2.473  47.9  2 3 0
38.27  2.352  49.3  2 1 2
47.72  1.906  47.4  1 2 3

Atomic structure:
abc: 7.331 10.050 6.438
angles: 90.00 90.00 90.00
Space group Pnma (No. 62)
Inequivalent atoms, fractional coordinates:
La 0.177 0.067 0.175 x8
Tm 0.041 0.250 0.659 x4
Ir 0.123 0.750 0.951 x4


The following is a theoretical X-ray powder pattern of LaTm2Ir9. It was derived from DFT lattice parameters and positions (GGA-PBE), using Cu Kα X-rays.
Neutral-atom scattering factors, no anomalous dispersion.

Principal peaks in the range 15° ≤ 2θ ≤ 90°, sorted by position:
2theta  d (Å)  intensity  (hkl)
19.50  4.552  19.7  1 0 1
33.57  2.670  32.3  1 1 0
39.13  2.302  25.5  0 2 1
39.59  2.277  100.0  1 1 6
41.40  2.181  36.1  0 0 12
42.76  2.115  56.3  2 0 5
46.17  1.966  17.2  0 2 7
64.08  1.453  30.7  3 0 6
70.58  1.334  24.6  2 2 0
85.26  1.138  18.2  2 2 12

Atomic structure:
abc: 5.3373 5.3373 26.1816
angles: 90.00 90.00 120.00
Space group R-3m (No. 166, hexagonal axes)
Inequivalent atoms, fractional coordinates:
La 0.0000 0.0000 0.0000 x3
Tm 0.0000 0.0000 0.1399 x6
Ir 0.0000 0.0000 0.3332 x6
Ir 0.0000 0.0000 0.5000 x3
Ir 0.0008 0.5004 0.9166 x18


The following is a theoretical X-ray powder pattern of LaTmIr. It was derived from DFT lattice parameters and positions (GGA-PBE), using Cu Kα X-rays.
Neutral-atom scattering factors, no anomalous dispersion.

Principal peaks in the range 15° ≤ 2θ ≤ 90°, sorted by position:
2theta  d (Å)  intensity  (hkl)
22.29  3.988  52.9  0 1 1
36.66  2.451  50.4  2 0 0
36.88  2.437  100.0  1 1 2
43.33  2.088  19.0  1 -2 1
43.71  2.071  9.2  1 0 -3
52.81  1.733  17.6  2 2 0
66.10  1.413  17.8  3 1 2
66.20  1.412  17.7  3 1 -2
66.52  1.406  8.9  2 0 4
89.37  1.096  10.1  3 3 2

Atomic structure:
abc: 4.901 4.904 6.854
angles: 89.90 89.90 89.98
Space group P-1 (No. 2)
Inequivalent atoms, fractional coordinates:
La 0.014 0.485 0.250 x2
Tm 0.490 0.011 0.750 x2
Ir 0.000 0.000 0.500 x1
Ir 0.500 0.500 0.000 x1


The following is a theoretical X-ray powder pattern of LaU2Ir9. It was derived from DFT lattice parameters and positions (GGA-PBE), using Cu Kα X-rays.
Neutral-atom scattering factors, no anomalous dispersion.

Principal peaks in the range 15° ≤ 2θ ≤ 90°, sorted by position:
2theta  d (Å)  intensity  (hkl)
33.47  2.678  17.1  0 1 8
33.69  2.661  24.2  1 1 0
39.25  2.295  27.7  0 2 1
39.63  2.274  100.0  1 1 6
41.16  2.193  21.0  0 0 12
41.53  2.175  17.2  0 2 4
42.57  2.123  21.6  0 1 11
42.84  2.111  39.0  2 0 5
64.25  1.450  22.4  0 3 6
70.83  1.330  25.1  2 2 0

Atomic structure:
abc: 5.3212 5.3212 26.3189
angles: 90.00 90.00 120.00
Space group R-3m (No. 166, hexagonal axes)
Inequivalent atoms, fractional coordinates:
La 0.0000 0.0000 0.0000 x3
U 0.0000 0.0000 0.1403 x6
Ir 0.0000 0.0000 0.3333 x6
Ir 0.0000 0.0000 0.5000 x3
Ir 0.0031 0.5016 0.9158 x18


The following is a theoretical X-ray powder pattern of LaIr2W. It was derived from DFT lattice parameters and positions (GGA-PBE), using Cu Kα X-rays.
Neutral-atom scattering factors, no anomalous dispersion.

Principal peaks in the range 15° ≤ 2θ ≤ 90°, sorted by position:
2theta  d (Å)  intensity  (hkl)
20.07  4.423  9.3  0 1 1
33.69  2.660  31.1  0 0 4
36.97  2.432  33.5  0 2 0
39.96  2.256  100.0  1 1 2
46.58  1.950  9.4  0 1 5
50.87  1.795  19.6  0 2 4
64.21  1.451  9.2  2 0 0
64.49  1.445  12.6  1 1 6
68.63  1.368  20.6  1 3 2
88.38  1.106  9.8  0 4 4

Atomic structure:
abc: 2.901 4.863 10.641
angles: 90.00 90.00 90.00
Space group Imm2 (No. 44)
Inequivalent atoms, fractional coordinates:
La 0.000 0.000 0.000 x2
Ir 0.000 0.000 0.506 x2
Ir 0.000 0.500 0.232 x2
W 0.000 0.500 0.792 x2